This entry pairs a crystal structure of ScMo3O8 with its calculated powder XRD pattern. Radiation: a wavelength of 1.5418 Å. Structure: DFT lattice parameters and positions (GGA+U).
Kinematic intensities with the Lorentz-polarization factor, no thermal factor.

The 12 most intense peaks (15 to 90 degrees two-theta), low angle first:
d [Å]	Rel. int.	hkl
5.276	17	1 1 0
4.638	100	0 0 1
3.494	46	1 1 -1
3.474	42	1 1 1
2.638	73	2 2 0
2.541	25	0 2 1
2.304	27	4 0 -1
2.288	58	2 2 1
1.829	17	1 3 1
1.745	24	2 2 -2
1.737	43	2 2 2
1.524	22	6 2 0

Structure:
```
data_ScMo3O8
_space_group_name_H-M_alt 'C 1 2 1'
_space_group_IT_number 5
_cell_length_a 10.568
_cell_length_b 6.084
_cell_length_c 4.638
_cell_angle_alpha 90.00
_cell_angle_beta 90.51
_cell_angle_gamma 90.00
loop_
_space_group_symop_operation_xyz
'x,y,z'
'-x,y,-z'
'x+1/2,y+1/2,z'
'-x+1/2,y+1/2,-z'
loop_
_atom_site_label
_atom_site_type_symbol
_atom_site_fract_x
_atom_site_fract_y
_atom_site_fract_z
Sc1 Sc 0.000 0.000 0.000
Mo1 Mo 0.000 0.501 0.500
Mo2 Mo 0.246 0.242 0.512
O1 O 0.083 0.730 0.728
O2 O 0.085 0.248 0.729
O3 O 0.158 0.493 0.273
O4 O 0.168 0.991 0.262
```